# Tb2Dy2Se3S2
Computed X-ray powder pattern, Cu Kα (λ = 1.5418 Å). Input: DFT lattice parameters and positions (PBE).
Kinematic intensities with the Lorentz-polarization factor, no thermal factor.

Cell and atoms:
```
Tb2Dy2Se3S2
1.0
-2.784 2.784 7.031
2.784 -2.784 7.031
2.784 2.784 -7.031
Tb Dy Se S
2 2 3 2
direct
0.213 0.213 0.000
0.787 0.787 0.000
0.000 0.500 0.500
0.500 0.000 0.500
0.000 0.000 0.000
0.250 0.750 0.500
0.750 0.250 0.500
0.401 0.401 0.000
0.599 0.599 0.000
```

Principal peaks in the range 2θ from 10° to 90°, in order of falling intensity:
2θ/deg, intensity
32.15, 100.0
41.37, 54.6
25.33, 49.7
25.94, 44.3
46.11, 36.3
35.77, 32.2
48.85, 26.1
53.34, 26.1
76.52, 16.6
82.13, 15.1

# La2TbNd4
Computed X-ray powder pattern, Cu Kα (λ = 1.5418 Å). Input: DFT lattice parameters and positions (PBE).
Kinematic intensities with the Lorentz-polarization factor, no thermal factor.

Cell and atoms:
```
La2TbNd4
1.0
6.755 0.000 0.000
3.355 8.251 0.000
1.357 -0.059 8.959
La Tb Nd
4 2 8
direct
0.000 0.000 0.000
0.029 0.344 0.786
0.292 0.422 0.463
0.602 0.583 0.604
0.302 0.796 0.283
0.593 0.213 0.788
0.222 0.585 0.961
0.314 0.196 0.145
0.409 0.001 0.565
0.607 0.806 0.931
0.688 0.418 0.115
0.856 0.688 0.284
0.889 0.188 0.427
0.992 0.811 0.638
```

Principal peaks in the range 2θ from 10° to 90°, in order of falling intensity:
2θ/deg, intensity
31.85, 100.0
30.91, 68.0
31.29, 66.5
31.12, 63.1
30.29, 32.7
31.94, 32.0
30.41, 31.6
43.88, 17.6
62.18, 16.1
55.68, 15.9

# MnFeTc
Computed X-ray powder pattern, Cu Kα (λ = 1.5418 Å). Input: DFT lattice parameters and positions (PBE).
Kinematic intensities with the Lorentz-polarization factor, no thermal factor.

Cell and atoms:
```
MnFeTc
1.0
-2.316 2.330 3.325
2.316 -2.330 3.325
2.316 2.330 -3.325
Mn Fe Tc
2 2 2
direct
0.500 0.000 0.000
0.500 0.500 0.500
0.000 0.000 0.000
0.500 0.000 0.500
0.125 0.375 0.750
0.875 0.625 0.250
```

Principal peaks in the range 2θ from 10° to 90°, in order of falling intensity:
2θ/deg, intensity
45.68, 100.0
45.33, 100.0
38.53, 99.2
45.84, 94.4
82.57, 43.9
47.66, 33.7
47.87, 32.9
74.99, 30.7
38.89, 25.7
38.65, 23.1

# HoThRuSe
Computed X-ray powder pattern, Cu Kα (λ = 1.5418 Å). Input: DFT lattice parameters and positions (PBE).
Kinematic intensities with the Lorentz-polarization factor, no thermal factor.

Cell and atoms:
```
HoThRuSe
1.0
2.013 1.162 7.230
-2.013 1.162 7.230
0.000 -2.325 7.230
Ho Th Ru Se
1 1 1 1
direct
0.000 0.000 0.000
0.189 0.189 0.189
0.590 0.590 0.590
0.756 0.756 0.756
```

Principal peaks in the range 2θ from 10° to 90°, in order of falling intensity:
2θ/deg, intensity
32.96, 100.0
45.03, 50.7
26.85, 37.7
38.88, 32.6
30.48, 23.3
56.91, 21.2
25.88, 21.0
49.49, 20.5
75.36, 18.6
12.24, 17.9